Starting from a GGA-PBE-relaxed structure, the powder diffractogram of Zn2SeCl2O3 was calculated for Cu Kα X-rays.
Kinematic intensities with the Lorentz-polarization factor, no thermal factor.

Crystal structure
```
Zn2SeCl2O3
1.0
7.9037 0.0000 0.0000
0.0000 10.4449 0.0000
-1.2829 0.0000 7.7067
Zn Se Cl O
8 4 8 12
Cartesian
0.4982 2.3129 0.9660
-0.1433 2.9096 4.8193
0.6466 5.3345 6.8885
1.2881 10.3329 3.0351
5.3327 0.1120 4.6716
5.9742 5.1105 0.8182
6.7640 7.5353 2.8874
6.1226 8.1321 6.7407
0.4081 0.3399 6.2624
1.0496 4.8826 2.4090
5.5712 5.5623 5.2977
6.2126 10.1051 1.4443
0.5010 7.5082 7.4143
1.1424 8.1592 3.5609
2.8155 1.0129 1.8637
2.1740 4.2096 5.7171
4.4468 6.2353 1.9896
3.8053 9.4321 5.8429
5.4784 2.2857 4.1457
6.1198 2.9368 0.2924
-0.1690 0.4898 1.7065
-0.8105 4.7326 5.5598
-0.1593 1.9012 6.7711
0.4822 3.3213 2.9178
0.7415 0.9523 4.6668
1.3829 4.2702 0.8135
5.2378 6.1748 6.8932
5.8793 9.4926 3.0398
6.1386 7.1237 4.7889
6.7800 8.5437 0.9356
7.4312 5.7123 2.1469
6.7898 9.9551 6.0002
```

Largest 10 diffraction maxima, low angle first, 5 to 70 degrees two-theta:
2θ (°), I_rel, hkl
11.3, 100, 1 0 0
14.2, 16, 1 1 0
22.8, 16, 2 0 0
24.6, 14, 0 1 2
25.5, 25, 1 1 -2
28.6, 44, 2 1 1
29.6, 31, 1 2 -2
34.3, 14, 0 4 0
34.5, 13, 3 0 0
35.6, 15, 3 1 0